No. 1
The following is a theoretical X-ray powder pattern of Tb3Mo2C4. It was derived from a DFT-relaxed cell (PBE, Alexandria), using Cu Kα.

The 10 most intense peaks (15° ≤ 2θ ≤ 90°), in order of rising 2θ:
d = 2.928 Å, rel. 399
d = 2.802 Å, rel. 272
d = 2.794 Å, rel. 612
d = 2.727 Å, rel. 605
d = 2.459 Å, rel. 1000
d = 2.406 Å, rel. 422
d = 2.199 Å, rel. 414
d = 1.667 Å, rel. 169
d = 1.595 Å, rel. 166
d = 1.553 Å, rel. 184

Crystal structure
a = 5.7496 Å, b = 5.7496 Å, c = 7.6105 Å
α = 101.84°, β = 101.84°, γ = 32.72°
Atoms (fractional coordinates):
Tb1 0.0000 0.0000 0.0000
Tb2 0.4012 0.4012 0.6125
Tb3 0.5988 0.5988 0.3875
Mo1 0.3027 0.3027 0.1639
Mo2 0.6973 0.6973 0.8361
C1 0.0718 0.0718 0.7032
C2 0.3329 0.3329 0.9021
C3 0.6671 0.6671 0.0979
C4 0.9282 0.9282 0.2968

No. 2
The following is a theoretical X-ray powder pattern of Ca2ScCu2O6. It was derived from a DFT-relaxed cell (PBE, Alexandria), using Cu Kα.

The 10 most intense peaks (15° ≤ 2θ ≤ 90°), in order of rising 2θ:
d = 4.262 Å, rel. 333
d = 2.886 Å, rel. 1000
d = 2.732 Å, rel. 806
d = 2.719 Å, rel. 131
d = 1.984 Å, rel. 393
d = 1.666 Å, rel. 176
d = 1.635 Å, rel. 401
d = 1.551 Å, rel. 116
d = 1.443 Å, rel. 216
d = 1.276 Å, rel. 178

Crystal structure
a = 6.3779 Å, b = 6.3779 Å, c = 6.3779 Å
α = 53.82°, β = 53.82°, γ = 53.82°
Atoms (fractional coordinates):
Ca1 0.1982 0.1982 0.1982
Ca2 0.8018 0.8018 0.8018
Sc1 0.0000 0.0000 0.0000
Cu1 0.4176 0.4176 0.4176
Cu2 0.5824 0.5824 0.5824
O1 0.2156 0.7590 0.7590
O2 0.2410 0.2410 0.7844
O3 0.2410 0.7844 0.2410
O4 0.7590 0.2156 0.7590
O5 0.7590 0.7590 0.2156
O6 0.7844 0.2410 0.2410